Computed powder diffraction line list of Gd3Ni4B4C3 for Cu Ka, from a cell relaxed with PBE.
Lines closer than 0.1° are merged.

Principal peaks in the range 2θ from 5° to 70°, low angle first:
d = 3.324 Å, 2θ = 26.82°, I 100; d = 2.556 Å, 2θ = 35.11°, I 80; d = 2.528 Å, 2θ = 35.51°, I 52; d = 2.371 Å, 2θ = 37.95°, I 71; d = 2.187 Å, 2θ = 41.29°, I 58; d = 1.809 Å, 2θ = 50.45°, I 43; d = 1.713 Å, 2θ = 53.50°, I 19; d = 1.589 Å, 2θ = 58.05°, I 26; d = 1.476 Å, 2θ = 62.98°, I 42; d = 1.471 Å, 2θ = 63.21°, I 37

```
Gd3Ni4B4C3
1.0
-1.809 1.809 12.640
1.809 -1.809 12.640
1.809 1.809 -12.640
Gd Ni B C
3 4 4 3
direct
0.000 0.000 0.000 Gd
0.300 0.300 0.000 Gd
0.700 0.700 0.000 Gd
0.100 0.600 0.500 Ni
0.400 0.900 0.500 Ni
0.600 0.100 0.500 Ni
0.900 0.400 0.500 Ni
0.144 0.144 0.000 B
0.441 0.441 0.000 B
0.559 0.559 0.000 B
0.856 0.856 0.000 B
0.203 0.203 0.000 C
0.500 0.500 0.000 C
0.797 0.797 0.000 C
```

Computed powder diffraction line list of BaHoTlS3 for Cu Ka, from a cell relaxed with PBE.
Lines closer than 0.1° are merged.

Principal peaks in the range 2θ from 5° to 70°, low angle first:
d = 7.727 Å, 2θ = 11.45°, I 28; d = 4.661 Å, 2θ = 19.04°, I 38; d = 3.283 Å, 2θ = 27.16°, I 62; d = 3.223 Å, 2θ = 27.68°, I 45; d = 3.211 Å, 2θ = 27.78°, I 100; d = 2.922 Å, 2θ = 30.60°, I 51; d = 2.469 Å, 2θ = 36.38°, I 20; d = 2.161 Å, 2θ = 41.80°, I 66; d = 1.845 Å, 2θ = 49.40°, I 23; d = 1.680 Å, 2θ = 54.64°, I 19

```
BaHoTlS3
1.0
2.053 -7.727 0.000
2.053 7.727 0.000
0.000 0.000 11.687
Ba Ho Tl S
2 2 2 6
direct
0.157 0.843 0.750 Ba
0.843 0.157 0.250 Ba
0.500 0.500 0.000 Ho
0.500 0.500 0.500 Ho
0.132 0.868 0.250 Tl
0.868 0.132 0.750 Tl
0.116 0.884 0.502 S
0.116 0.884 0.998 S
0.496 0.504 0.250 S
0.504 0.496 0.750 S
0.884 0.116 0.002 S
0.884 0.116 0.498 S
```

Computed powder diffraction line list of TbY2Mg3AgAu2 for Cu Ka, from a cell relaxed with PBE.
Lines closer than 0.1° are merged.

Principal peaks in the range 2θ from 5° to 70°, low angle first:
d = 6.703 Å, 2θ = 13.21°, I 36; d = 3.869 Å, 2θ = 22.99°, I 66; d = 3.443 Å, 2θ = 25.88°, I 32; d = 2.785 Å, 2θ = 32.14°, I 93; d = 2.572 Å, 2θ = 34.89°, I 100; d = 2.533 Å, 2θ = 35.45°, I 21; d = 2.233 Å, 2θ = 40.39°, I 48; d = 2.142 Å, 2θ = 42.19°, I 40; d = 2.007 Å, 2θ = 45.18°, I 22; d = 1.493 Å, 2θ = 62.19°, I 27

```
TbY2Mg3AgAu2
1.0
4.014 0.000 0.000
0.000 6.691 3.873
0.000 -6.691 3.873
Tb Y Mg Ag Au
1 2 3 1 2
direct
0.000 0.000 0.000 Tb
0.000 0.414 0.827 Y
0.000 0.827 0.414 Y
0.500 0.163 0.415 Mg
0.500 0.415 0.163 Mg
0.500 0.663 0.663 Mg
0.000 0.413 0.413 Ag
0.500 0.080 0.747 Au
0.500 0.747 0.080 Au
```

Computed powder diffraction line list of Y2Ho2CIBr2Cl2 for Cu Ka, from a cell relaxed with PBE.
Lines closer than 0.1° are merged.

Principal peaks in the range 2θ from 5° to 70°, low angle first:
d = 8.289 Å, 2θ = 10.67°, I 80; d = 8.209 Å, 2θ = 10.78°, I 20; d = 3.085 Å, 2θ = 28.94°, I 27; d = 2.839 Å, 2θ = 31.51°, I 100; d = 2.811 Å, 2θ = 31.83°, I 42; d = 2.763 Å, 2θ = 32.40°, I 50; d = 2.429 Å, 2θ = 37.01°, I 19; d = 1.984 Å, 2θ = 45.74°, I 29; d = 1.977 Å, 2θ = 45.91°, I 30; d = 1.915 Å, 2θ = 47.49°, I 19

```
Y2Ho2CIBr2Cl2
1.0
8.545 -1.915 0.000
8.545 1.915 0.000
-2.053 0.000 8.209
Y Ho C I Br Cl
2 2 1 1 2 2
direct
0.145 0.145 0.073 Y
0.855 0.855 0.927 Y
0.499 0.499 0.190 Ho
0.501 0.501 0.810 Ho
0.000 0.000 0.000 C
0.000 0.000 0.500 I
0.329 0.329 0.670 Br
0.671 0.671 0.330 Br
0.330 0.330 0.146 Cl
0.670 0.670 0.854 Cl
```

Computed powder diffraction line list of MgFePdPb for Cu Ka, from a cell relaxed with PBE.
Lines closer than 0.1° are merged.

Principal peaks in the range 2θ from 5° to 70°, low angle first:
d = 3.716 Å, 2θ = 23.95°, I 52; d = 3.218 Å, 2θ = 27.72°, I 3; d = 2.275 Å, 2θ = 39.61°, I 100; d = 1.941 Å, 2θ = 46.82°, I 28; d = 1.858 Å, 2θ = 49.03°, I 1; d = 1.609 Å, 2θ = 57.26°, I 17; d = 1.477 Å, 2θ = 62.95°, I 12; d = 1.439 Å, 2θ = 64.78°, I 2

```
MgFePdPb
1.0
0.000 3.218 3.218
3.218 0.000 3.218
3.218 3.218 0.000
Mg Fe Pd Pb
1 1 1 1
direct
0.000 0.000 0.000 Mg
0.750 0.750 0.750 Fe
0.250 0.250 0.250 Pd
0.500 0.500 0.500 Pb
```

Computed powder diffraction line list of PrSm2Ga2Ni4 for Cu Ka, from a cell relaxed with PBE.
Lines closer than 0.1° are merged.

Principal peaks in the range 2θ from 5° to 70°, low angle first:
d = 3.397 Å, 2θ = 26.23°, I 79; d = 2.941 Å, 2θ = 30.39°, I 34; d = 2.879 Å, 2θ = 31.06°, I 68; d = 2.602 Å, 2θ = 34.47°, I 100; d = 2.554 Å, 2θ = 35.14°, I 49; d = 2.500 Å, 2θ = 35.92°, I 49; d = 2.322 Å, 2θ = 38.78°, I 60; d = 2.293 Å, 2θ = 39.29°, I 42; d = 2.156 Å, 2θ = 41.90°, I 70; d = 2.081 Å, 2θ = 43.49°, I 97

```
PrSm2Ga2Ni4
1.0
5.060 -2.081 0.000
5.060 2.081 0.000
-1.268 0.000 8.135
Pr Sm Ga Ni
1 2 2 4
direct
0.000 0.000 0.000 Pr
0.375 0.375 0.619 Sm
0.625 0.625 0.381 Sm
0.323 0.323 0.219 Ga
0.677 0.677 0.781 Ga
0.084 0.084 0.633 Ni
0.263 0.263 0.914 Ni
0.737 0.737 0.086 Ni
0.916 0.916 0.367 Ni
```

Computed powder diffraction line list of BaH8PtC4N4O4 for Cu Ka, from a cell relaxed with PBE.
Lines closer than 0.1° are merged.

Principal peaks in the range 2θ from 5° to 70°, low angle first:
d = 8.827 Å, 2θ = 10.02°, I 49; d = 6.837 Å, 2θ = 12.95°, I 52; d = 5.779 Å, 2θ = 15.33°, I 100; d = 4.414 Å, 2θ = 20.12°, I 38; d = 4.240 Å, 2θ = 20.95°, I 77; d = 3.066 Å, 2θ = 29.12°, I 61; d = 2.942 Å, 2θ = 30.38°, I 34; d = 2.761 Å, 2θ = 32.43°, I 31; d = 2.661 Å, 2θ = 33.69°, I 54; d = 2.253 Å, 2θ = 40.02°, I 33

```
BaH8PtC4N4O4
1.0
6.066 -6.837 0.000
6.066 6.837 0.000
-1.915 0.000 6.000
Ba H Pt C N O
2 16 2 8 8 8
direct
0.130 0.870 0.750 Ba
0.870 0.130 0.250 Ba
0.011 0.216 0.833 H
0.032 0.423 0.709 H
0.124 0.222 0.057 H
0.124 0.621 0.246 H
0.216 0.011 0.333 H
0.222 0.124 0.557 H
0.379 0.876 0.254 H
0.423 0.032 0.209 H
0.577 0.968 0.791 H
0.621 0.124 0.746 H
0.778 0.876 0.443 H
0.784 0.989 0.667 H
0.876 0.379 0.754 H
0.876 0.778 0.943 H
0.968 0.577 0.291 H
0.989 0.784 0.167 H
0.500 0.500 0.000 Pt
0.500 0.500 0.500 Pt
0.283 0.408 0.409 C
0.298 0.559 0.948 C
0.408 0.283 0.909 C
0.441 0.702 0.552 C
0.559 0.298 0.448 C
0.592 0.717 0.091 C
0.702 0.441 0.052 C
0.717 0.592 0.591 C
0.155 0.353 0.355 N
0.178 0.596 0.914 N
0.353 0.155 0.855 N
0.404 0.822 0.586 N
0.596 0.178 0.414 N
0.647 0.845 0.145 N
0.822 0.404 0.086 N
0.845 0.647 0.645 N
0.047 0.151 0.936 O
0.052 0.663 0.326 O
0.151 0.047 0.436 O
0.337 0.948 0.174 O
0.663 0.052 0.826 O
0.849 0.953 0.564 O
0.948 0.337 0.674 O
0.953 0.849 0.064 O
```

Computed powder diffraction line list of CsRbTcSeS2 for Cu Ka, from a cell relaxed with PBE.
Lines closer than 0.1° are merged.

Principal peaks in the range 2θ from 5° to 70°, low angle first:
d = 6.014 Å, 2θ = 14.73°, I 34; d = 3.718 Å, 2θ = 23.93°, I 62; d = 3.560 Å, 2θ = 25.01°, I 100; d = 3.370 Å, 2θ = 26.45°, I 64; d = 3.347 Å, 2θ = 26.64°, I 62; d = 2.566 Å, 2θ = 34.97°, I 27; d = 2.447 Å, 2θ = 36.73°, I 39; d = 2.438 Å, 2θ = 36.86°, I 33; d = 2.180 Å, 2θ = 41.42°, I 30; d = 1.859 Å, 2θ = 49.00°, I 26

```
CsRbTcSeS2
1.0
7.120 0.000 0.000
3.553 7.033 0.000
3.554 0.883 8.160
Cs Rb Tc Se S
2 2 2 2 4
direct
0.217 0.399 0.181 Cs
0.783 0.601 0.819 Cs
0.422 0.798 0.364 Rb
0.578 0.202 0.636 Rb
0.105 0.940 0.844 Tc
0.895 0.060 0.156 Tc
0.106 0.169 0.610 Se
0.894 0.831 0.390 Se
0.255 0.996 0.997 S
0.284 0.643 0.770 S
0.716 0.357 0.230 S
0.745 0.004 0.003 S
```

Computed powder diffraction line list of NaPIrO4F for Cu Ka, from a cell relaxed with PBE.
Lines closer than 0.1° are merged.

Principal peaks in the range 2θ from 5° to 70°, low angle first:
d = 4.821 Å, 2θ = 18.40°, I 100; d = 4.299 Å, 2θ = 20.66°, I 30; d = 3.265 Å, 2θ = 27.32°, I 65; d = 2.911 Å, 2θ = 30.71°, I 30; d = 2.572 Å, 2θ = 34.89°, I 33; d = 2.559 Å, 2θ = 35.07°, I 37; d = 2.390 Å, 2θ = 37.64°, I 17; d = 2.297 Å, 2θ = 39.21°, I 14; d = 2.067 Å, 2θ = 43.81°, I 18; d = 1.607 Å, 2θ = 57.32°, I 15

```
NaPIrO4F
1.0
3.248 -4.299 0.000
3.248 4.299 0.000
-3.150 0.000 6.369
Na P Ir O F
2 2 2 8 2
direct
0.147 0.853 0.750 Na
0.853 0.147 0.250 Na
0.190 0.810 0.250 P
0.810 0.190 0.750 P
0.500 0.500 0.000 Ir
0.500 0.500 0.500 Ir
0.093 0.257 0.921 O
0.168 0.589 0.353 O
0.257 0.093 0.421 O
0.411 0.832 0.147 O
0.589 0.168 0.853 O
0.743 0.907 0.579 O
0.832 0.411 0.647 O
0.907 0.743 0.079 O
0.395 0.605 0.750 F
0.605 0.395 0.250 F
```

Computed powder diffraction line list of FeNiGeTe3 for Cu Ka, from a cell relaxed with PBE.
Lines closer than 0.1° are merged.

Principal peaks in the range 2θ from 5° to 70°, low angle first:
d = 7.039 Å, 2θ = 12.58°, I 30; d = 3.520 Å, 2θ = 25.31°, I 23; d = 2.959 Å, 2θ = 30.21°, I 34; d = 2.812 Å, 2θ = 31.82°, I 54; d = 2.580 Å, 2θ = 34.77°, I 49; d = 2.543 Å, 2θ = 35.29°, I 100; d = 2.061 Å, 2θ = 43.92°, I 25; d = 1.882 Å, 2θ = 48.36°, I 27; d = 1.868 Å, 2θ = 48.75°, I 26; d = 1.686 Å, 2θ = 54.41°, I 24

```
FeNiGeTe3
1.0
1.868 -7.039 0.000
1.868 7.039 0.000
0.000 0.000 10.322
Fe Ni Ge Te
2 2 2 6
direct
0.044 0.956 0.750 Fe
0.956 0.044 0.250 Fe
0.500 0.500 0.000 Ni
0.500 0.500 0.500 Ni
0.316 0.684 0.250 Ge
0.684 0.316 0.750 Ge
0.132 0.868 0.535 Te
0.132 0.868 0.965 Te
0.418 0.582 0.750 Te
0.582 0.418 0.250 Te
0.868 0.132 0.035 Te
0.868 0.132 0.465 Te
```

Computed powder diffraction line list of TaSiAsO for Cu Ka, from a cell relaxed with PBE.
Lines closer than 0.1° are merged.

Principal peaks in the range 2θ from 5° to 70°, low angle first:
d = 5.740 Å, 2θ = 15.44°, I 100; d = 3.048 Å, 2θ = 29.30°, I 71; d = 2.576 Å, 2θ = 34.83°, I 50; d = 2.249 Å, 2θ = 40.09°, I 59; d = 2.244 Å, 2θ = 40.19°, I 56; d = 2.094 Å, 2θ = 43.20°, I 37; d = 2.034 Å, 2θ = 44.55°, I 50; d = 1.799 Å, 2θ = 50.76°, I 19; d = 1.457 Å, 2θ = 63.87°, I 21; d = 1.347 Å, 2θ = 69.80°, I 26

```
TaSiAsO
1.0
3.597 0.000 0.000
0.000 5.740 0.000
0.000 0.000 5.764
Ta Si As O
2 2 2 2
direct
0.000 0.010 0.000 Ta
0.000 0.990 0.500 Ta
0.500 0.295 0.268 Si
0.500 0.705 0.768 Si
0.500 0.274 0.763 As
0.500 0.726 0.263 As
0.000 0.298 0.264 O
0.000 0.702 0.764 O
```

Computed powder diffraction line list of Dy4BI3Br2 for Cu Ka, from a cell relaxed with PBE.
Lines closer than 0.1° are merged.

Principal peaks in the range 2θ from 5° to 70°, low angle first:
d = 9.132 Å, 2θ = 9.68°, I 22; d = 8.398 Å, 2θ = 10.53°, I 48; d = 3.233 Å, 2θ = 27.59°, I 18; d = 3.044 Å, 2θ = 29.34°, I 44; d = 2.926 Å, 2θ = 30.55°, I 100; d = 2.699 Å, 2θ = 33.20°, I 23; d = 2.688 Å, 2θ = 33.34°, I 18; d = 2.133 Å, 2θ = 42.38°, I 27; d = 2.087 Å, 2θ = 43.36°, I 25; d = 2.003 Å, 2θ = 45.26°, I 19

```
Dy4BI3Br2
1.0
9.318 -2.003 0.000
9.318 2.003 0.000
-1.704 0.000 8.398
Dy B I Br
4 1 3 2
direct
0.001 0.001 0.304 Dy
0.363 0.363 0.431 Dy
0.637 0.637 0.569 Dy
0.999 0.999 0.696 Dy
0.500 0.500 0.500 B
0.174 0.174 0.319 I
0.500 0.500 0.000 I
0.826 0.826 0.681 I
0.157 0.157 0.816 Br
0.843 0.843 0.184 Br
```